For Fe2Au, DFT lattice parameters and positions (GGA-PBE) gives the theoretical PXRD pattern in this record (CuKα).

Largest 10 diffraction maxima, by angle, 10° ≤ 2θ ≤ 80°:
| two_theta | d_spacing | I (rel.) |
| --- | --- | --- |
| 22.26 | 3.994 | 29 |
| 36.75 | 2.446 | 79 |
| 43.39 | 2.086 | 100 |
| 45.42 | 1.997 | 10 |
| 58.13 | 1.587 | 8 |
| 66.19 | 1.412 | 29 |
| 70.71 | 1.332 | 12 |
| 70.82 | 1.331 | 19 |
| 78.15 | 1.223 | 18 |
| 78.26 | 1.222 | 4 |

Structure:
a = 4.893 Å, b = 4.893 Å, c = 4.893 Å
α = 120.09°, β = 120.03°, γ = 89.90°
Fractional positions:
1 Fe 0.000 0.000 0.000
2 Fe 0.500 0.000 0.000
3 Fe 0.500 0.000 0.500
4 Fe 0.500 0.500 0.500
5 Au 0.125 0.375 0.750
6 Au 0.875 0.625 0.250

***

For GaFeAu2Se4, DFT lattice parameters and positions (GGA-PBE) gives the theoretical PXRD pattern in this record (CuKα).

Largest 10 diffraction maxima, by angle, 10° ≤ 2θ ≤ 80°:
| two_theta | d_spacing | I (rel.) |
| --- | --- | --- |
| 23.70 | 3.755 | 12 |
| 28.50 | 3.131 | 100 |
| 30.35 | 2.945 | 24 |
| 35.88 | 2.503 | 12 |
| 41.21 | 2.191 | 31 |
| 46.03 | 1.972 | 29 |
| 49.30 | 1.849 | 33 |
| 51.26 | 1.782 | 21 |
| 57.93 | 1.592 | 14 |
| 62.46 | 1.487 | 14 |

Structure:
a = 3.697 Å, b = 3.697 Å, c = 15.019 Å
α = 90.00°, β = 90.00°, γ = 120.00°
Fractional positions:
1 Ga 0.000 0.000 0.000
2 Fe 0.000 0.000 0.500
3 Au 0.333 0.667 0.258
4 Au 0.667 0.333 0.742
5 Se 0.333 0.667 0.095
6 Se 0.333 0.667 0.420
7 Se 0.667 0.333 0.580
8 Se 0.667 0.333 0.905

***

For GdFeSi2Au, DFT lattice parameters and positions (GGA-PBE) gives the theoretical PXRD pattern in this record (CuKα).

Largest 10 diffraction maxima, by angle, 10° ≤ 2θ ≤ 80°:
| two_theta | d_spacing | I (rel.) |
| --- | --- | --- |
| 23.36 | 3.808 | 44 |
| 34.45 | 2.604 | 29 |
| 35.63 | 2.520 | 100 |
| 44.04 | 2.056 | 29 |
| 50.41 | 1.810 | 23 |
| 57.08 | 1.614 | 14 |
| 57.86 | 1.594 | 15 |
| 63.99 | 1.455 | 23 |
| 69.09 | 1.360 | 12 |
| 75.49 | 1.259 | 26 |

Structure:
a = 5.823 Å, b = 5.823 Å, c = 5.823 Å
α = 138.64°, β = 138.64°, γ = 59.92°
Fractional positions:
1 Gd 0.000 0.000 0.000
2 Fe 0.750 0.250 0.500
3 Si 0.383 0.383 0.000
4 Si 0.617 0.617 0.000
5 Au 0.250 0.750 0.500